Structure and theoretical PXRD pattern of Pm2AlGe3 (DFT lattice parameters and positions (GGA-PBE); a wavelength of 1.5418 Å).
Lines closer than 0.1° are merged.

Principal peaks in the range 2θ from 5° to 70°, by intensity:
d 2.574, 2θ = 34.86°, I 100.0
d 2.698, 2θ = 33.21°, I 65.4
d 2.155, 2θ = 41.92°, I 58.3
d 2.770, 2θ = 32.32°, I 42.7
d 2.845, 2θ = 31.44°, I 38.5
d 2.668, 2θ = 33.59°, I 35.2
d 1.945, 2θ = 46.71°, I 33.7
d 1.444, 2θ = 64.54°, I 25.4
d 2.263, 2θ = 39.84°, I 20.1
d 9.052, 2θ = 9.77°, I 17.5

Cell and atoms:
```
data_Pm2AlGe3
_cell_length_a 6.916
_cell_length_b 4.312
_cell_length_c 18.103
_cell_angle_alpha 90.00
_cell_angle_beta 90.00
_cell_angle_gamma 90.00
_symmetry_space_group_name_H-M 'P 1'
_symmetry_Int_Tables_number 1
loop_
_symmetry_equiv_pos_as_xyz
'x,y,z'
loop_
_atom_site_label
_atom_site_fract_x
_atom_site_fract_y
_atom_site_fract_z
_atom_site_occupancy
Pm1 0.169 0.250 0.084 1
Pm2 0.169 0.250 0.296 1
Pm3 0.331 0.750 0.584 1
Pm4 0.331 0.750 0.796 1
Pm5 0.669 0.250 0.204 1
Pm6 0.669 0.250 0.416 1
Pm7 0.831 0.750 0.704 1
Pm8 0.831 0.750 0.916 1
Al1 0.046 0.750 0.435 1
Al2 0.454 0.250 0.935 1
Al3 0.546 0.750 0.065 1
Al4 0.954 0.250 0.565 1
Ge1 0.030 0.250 0.824 1
Ge2 0.146 0.250 0.688 1
Ge3 0.240 0.250 0.465 1
Ge4 0.260 0.750 0.965 1
Ge5 0.354 0.750 0.188 1
Ge6 0.470 0.750 0.324 1
Ge7 0.530 0.250 0.676 1
Ge8 0.646 0.250 0.812 1
Ge9 0.740 0.250 0.035 1
Ge10 0.760 0.750 0.535 1
Ge11 0.854 0.750 0.312 1
Ge12 0.970 0.750 0.176 1
```

---

Structure and theoretical PXRD pattern of PmAlGe (DFT lattice parameters and positions (GGA-PBE); a wavelength of 1.5418 Å).
Lines closer than 0.1° are merged.

Principal peaks in the range 2θ from 5° to 70°, by intensity:
d 2.700, 2θ = 33.18°, I 100.0
d 2.455, 2θ = 36.61°, I 79.9
d 3.224, 2θ = 27.67°, I 77.7
d 2.341, 2θ = 38.45°, I 77.2
d 2.438, 2θ = 36.87°, I 76.7
d 2.949, 2θ = 30.31°, I 70.0
d 3.851, 2θ = 23.10°, I 54.5
d 1.991, 2θ = 45.55°, I 41.7
d 2.063, 2θ = 43.88°, I 41.3
d 1.575, 2θ = 58.61°, I 39.7

Cell and atoms:
```
data_PmAlGe
_cell_length_a 4.126
_cell_length_b 10.709
_cell_length_c 5.898
_cell_angle_alpha 90.00
_cell_angle_beta 90.00
_cell_angle_gamma 90.00
_symmetry_space_group_name_H-M 'P 1'
_symmetry_Int_Tables_number 1
loop_
_symmetry_equiv_pos_as_xyz
'x,y,z'
loop_
_atom_site_label
_atom_site_fract_x
_atom_site_fract_y
_atom_site_fract_z
_atom_site_occupancy
Pm1 0.000 0.190 0.250 1
Pm2 0.000 0.810 0.750 1
Pm3 0.500 0.310 0.750 1
Pm4 0.500 0.690 0.250 1
Al1 0.000 0.500 0.000 1
Al2 0.000 0.500 0.500 1
Al3 0.500 0.000 0.000 1
Al4 0.500 0.000 0.500 1
Ge1 0.000 0.102 0.750 1
Ge2 0.000 0.898 0.250 1
Ge3 0.500 0.398 0.250 1
Ge4 0.500 0.602 0.750 1
```

---

Structure and theoretical PXRD pattern of Pm4Al3Ge (DFT lattice parameters and positions (GGA-PBE); a wavelength of 1.5418 Å).
Lines closer than 0.1° are merged.

Principal peaks in the range 2θ from 5° to 70°, by intensity:
d 2.948, 2θ = 30.32°, I 100.0
d 2.908, 2θ = 30.75°, I 53.2
d 3.349, 2θ = 26.62°, I 50.5
d 2.379, 2θ = 37.81°, I 35.0
d 2.849, 2θ = 31.39°, I 27.5
d 2.259, 2θ = 39.91°, I 23.6
d 4.200, 2θ = 21.15°, I 22.6
d 1.686, 2θ = 54.42°, I 21.3
d 1.873, 2θ = 48.62°, I 19.9
d 1.826, 2θ = 49.94°, I 18.4

Cell and atoms:
```
data_Pm4Al3Ge
_cell_length_a 4.139
_cell_length_b 4.518
_cell_length_c 11.398
_cell_angle_alpha 90.00
_cell_angle_beta 90.00
_cell_angle_gamma 90.00
_symmetry_space_group_name_H-M 'P 1'
_symmetry_Int_Tables_number 1
loop_
_symmetry_equiv_pos_as_xyz
'x,y,z'
loop_
_atom_site_label
_atom_site_fract_x
_atom_site_fract_y
_atom_site_fract_z
_atom_site_occupancy
Pm1 0.000 0.000 0.000 1
Pm2 0.000 0.500 0.495 1
Pm3 0.500 0.000 0.279 1
Pm4 0.500 0.500 0.783 1
Al1 0.000 0.000 0.714 1
Al2 0.000 0.500 0.206 1
Al3 0.500 0.000 0.569 1
Ge1 0.500 0.500 0.063 1
```

---

Structure and theoretical PXRD pattern of PmAl2Ge2 (DFT lattice parameters and positions (GGA-PBE); a wavelength of 1.5418 Å).
Lines closer than 0.1° are merged.

Principal peaks in the range 2θ from 5° to 70°, by intensity:
d 2.988, 2θ = 29.90°, I 100.0
d 2.623, 2θ = 34.18°, I 84.1
d 2.743, 2θ = 32.64°, I 31.3
d 2.051, 2θ = 44.16°, I 28.2
d 4.753, 2θ = 18.67°, I 22.9
d 3.106, 2θ = 28.74°, I 21.2
d 2.056, 2θ = 44.04°, I 19.7
d 3.412, 2θ = 26.12°, I 17.9
d 2.634, 2θ = 34.04°, I 17.6
d 2.323, 2θ = 38.76°, I 17.2

Cell and atoms:
```
data_PmAl2Ge2
_cell_length_a 9.509
_cell_length_b 4.102
_cell_length_c 10.965
_cell_angle_alpha 90.00
_cell_angle_beta 90.00
_cell_angle_gamma 90.00
_symmetry_space_group_name_H-M 'P 1'
_symmetry_Int_Tables_number 1
loop_
_symmetry_equiv_pos_as_xyz
'x,y,z'
loop_
_atom_site_label
_atom_site_fract_x
_atom_site_fract_y
_atom_site_fract_z
_atom_site_occupancy
Pm1 0.218 0.250 0.202 1
Pm2 0.282 0.750 0.702 1
Pm3 0.718 0.250 0.298 1
Pm4 0.782 0.750 0.798 1
Al1 0.070 0.750 0.403 1
Al2 0.073 0.750 0.958 1
Al3 0.427 0.250 0.458 1
Al4 0.430 0.250 0.903 1
Al5 0.570 0.750 0.097 1
Al6 0.573 0.750 0.542 1
Al7 0.927 0.250 0.042 1
Al8 0.930 0.250 0.597 1
Ge1 0.048 0.250 0.807 1
Ge2 0.175 0.250 0.496 1
Ge3 0.325 0.750 0.996 1
Ge4 0.452 0.750 0.307 1
Ge5 0.548 0.250 0.693 1
Ge6 0.675 0.250 0.004 1
Ge7 0.825 0.750 0.504 1
Ge8 0.952 0.750 0.193 1
```

---

Structure and theoretical PXRD pattern of PmPrAl2Ge (DFT lattice parameters and positions (GGA-PBE); a wavelength of 1.5418 Å).
Lines closer than 0.1° are merged.

Principal peaks in the range 2θ from 5° to 70°, by intensity:
d 2.821, 2θ = 31.72°, I 100.0
d 2.196, 2θ = 41.09°, I 35.9
d 4.257, 2θ = 20.87°, I 26.3
d 1.575, 2θ = 58.61°, I 25.1
d 3.045, 2θ = 29.33°, I 23.6
d 3.085, 2θ = 28.94°, I 21.9
d 2.260, 2θ = 39.90°, I 18.7
d 3.166, 2θ = 28.18°, I 15.1
d 4.153, 2θ = 21.39°, I 14.0
d 2.210, 2θ = 40.84°, I 11.7

Cell and atoms:
```
data_PmPrAl2Ge
_cell_length_a 4.396
_cell_length_b 4.519
_cell_length_c 12.666
_cell_angle_alpha 90.00
_cell_angle_beta 90.00
_cell_angle_gamma 90.00
_symmetry_space_group_name_H-M 'P 1'
_symmetry_Int_Tables_number 1
loop_
_symmetry_equiv_pos_as_xyz
'x,y,z'
loop_
_atom_site_label
_atom_site_fract_x
_atom_site_fract_y
_atom_site_fract_z
_atom_site_occupancy
Pm1 0.000 0.000 0.000 1
Pm2 0.500 0.500 0.500 1
Pr1 0.000 0.500 0.244 1
Pr2 0.500 0.000 0.744 1
Al1 0.000 0.000 0.473 1
Al2 0.000 0.500 0.845 1
Al3 0.500 0.000 0.345 1
Al4 0.500 0.500 0.973 1
Ge1 0.000 0.500 0.649 1
Ge2 0.500 0.000 0.149 1
```

---

Structure and theoretical PXRD pattern of Pm2AlGe2Rh5 (DFT lattice parameters and positions (GGA-PBE); a wavelength of 1.5418 Å).
Lines closer than 0.1° are merged.

Principal peaks in the range 2θ from 5° to 70°, by intensity:
d 2.350, 2θ = 38.31°, I 100.0
d 2.404, 2θ = 37.40°, I 69.3
d 2.174, 2θ = 41.55°, I 45.8
d 2.337, 2θ = 38.53°, I 34.2
d 2.771, 2θ = 32.31°, I 33.0
d 1.428, 2θ = 65.36°, I 26.5
d 2.032, 2θ = 44.59°, I 25.2
d 1.775, 2θ = 51.50°, I 24.7
d 7.010, 2θ = 12.63°, I 20.7
d 2.494, 2θ = 36.01°, I 20.1

Cell and atoms:
```
data_Pm2AlGe2Rh5
_cell_length_a 9.913
_cell_length_b 9.913
_cell_length_c 3.549
_cell_angle_alpha 90.00
_cell_angle_beta 90.00
_cell_angle_gamma 90.00
_symmetry_space_group_name_H-M 'P 1'
_symmetry_Int_Tables_number 1
loop_
_symmetry_equiv_pos_as_xyz
'x,y,z'
loop_
_atom_site_label
_atom_site_fract_x
_atom_site_fract_y
_atom_site_fract_z
_atom_site_occupancy
Pm1 0.175 0.325 0.000 1
Pm2 0.325 0.825 0.000 1
Pm3 0.675 0.175 0.000 1
Pm4 0.825 0.675 0.000 1
Al1 0.000 0.000 0.000 1
Al2 0.500 0.500 0.000 1
Ge1 0.124 0.624 0.000 1
Ge2 0.376 0.124 0.000 1
Ge3 0.624 0.876 0.000 1
Ge4 0.876 0.376 0.000 1
Rh1 0.000 0.500 0.500 1
Rh2 0.065 0.793 0.500 1
Rh3 0.207 0.065 0.500 1
Rh4 0.293 0.565 0.500 1
Rh5 0.435 0.293 0.500 1
Rh6 0.500 0.000 0.500 1
Rh7 0.565 0.707 0.500 1
Rh8 0.707 0.435 0.500 1
Rh9 0.793 0.935 0.500 1
Rh10 0.935 0.207 0.500 1
```

---

Structure and theoretical PXRD pattern of TbPmAl2Ge (DFT lattice parameters and positions (GGA-PBE); a wavelength of 1.5418 Å).
Lines closer than 0.1° are merged.

Principal peaks in the range 2θ from 5° to 70°, by intensity:
d 2.773, 2θ = 32.28°, I 100.0
d 4.171, 2θ = 21.30°, I 29.0
d 2.993, 2θ = 29.85°, I 25.6
d 3.021, 2θ = 29.56°, I 21.8
d 2.214, 2θ = 40.75°, I 18.6
d 1.780, 2θ = 51.34°, I 17.7
d 3.100, 2θ = 28.80°, I 17.6
d 2.171, 2θ = 41.60°, I 17.5
d 2.153, 2θ = 41.96°, I 17.5
d 1.550, 2θ = 59.65°, I 16.1

Cell and atoms:
```
data_TbPmAl2Ge
_cell_length_a 4.342
_cell_length_b 4.429
_cell_length_c 12.397
_cell_angle_alpha 90.00
_cell_angle_beta 90.00
_cell_angle_gamma 90.00
_symmetry_space_group_name_H-M 'P 1'
_symmetry_Int_Tables_number 1
loop_
_symmetry_equiv_pos_as_xyz
'x,y,z'
loop_
_atom_site_label
_atom_site_fract_x
_atom_site_fract_y
_atom_site_fract_z
_atom_site_occupancy
Tb1 0.000 0.000 0.000 1
Tb2 0.500 0.500 0.500 1
Pm1 0.000 0.500 0.245 1
Pm2 0.500 0.000 0.745 1
Al1 0.000 0.000 0.481 1
Al2 0.000 0.500 0.847 1
Al3 0.500 0.000 0.347 1
Al4 0.500 0.500 0.981 1
Ge1 0.000 0.500 0.647 1
Ge2 0.500 0.000 0.147 1
```

---

Structure and theoretical PXRD pattern of PrAlGe2 (DFT lattice parameters and positions (GGA-PBE); a wavelength of 1.5418 Å).
Lines closer than 0.1° are merged.

Principal peaks in the range 2θ from 5° to 70°, by intensity:
d 2.545, 2θ = 35.26°, I 100.0
d 3.227, 2θ = 27.64°, I 39.0
d 2.070, 2θ = 43.73°, I 33.7
d 2.187, 2θ = 41.29°, I 31.1
d 1.503, 2θ = 61.70°, I 18.8
d 2.575, 2θ = 34.84°, I 13.8
d 1.742, 2θ = 52.52°, I 13.1
d 1.613, 2θ = 57.09°, I 13.1
d 5.150, 2θ = 17.22°, I 13.1
d 1.586, 2θ = 58.17°, I 13.0

Cell and atoms:
```
data_PrAlGe2
_cell_length_a 4.140
_cell_length_b 4.140
_cell_length_c 10.301
_cell_angle_alpha 90.00
_cell_angle_beta 90.00
_cell_angle_gamma 90.00
_symmetry_space_group_name_H-M 'P 1'
_symmetry_Int_Tables_number 1
loop_
_symmetry_equiv_pos_as_xyz
'x,y,z'
loop_
_atom_site_label
_atom_site_fract_x
_atom_site_fract_y
_atom_site_fract_z
_atom_site_occupancy
Pr1 0.000 0.000 0.000 1
Pr2 0.000 0.000 0.500 1
Al1 0.000 0.500 0.265 1
Al2 0.500 0.000 0.765 1
Ge1 0.000 0.500 0.766 1
Ge2 0.500 0.000 0.266 1
Ge3 0.500 0.500 0.091 1
Ge4 0.500 0.500 0.591 1
```

---

Structure and theoretical PXRD pattern of PrAlGe (DFT lattice parameters and positions (GGA-PBE); a wavelength of 1.5418 Å).
Lines closer than 0.1° are merged.

Principal peaks in the range 2θ from 5° to 70°, by intensity:
d 2.814, 2θ = 31.80°, I 100.0
d 2.436, 2θ = 36.90°, I 45.6
d 3.241, 2θ = 27.52°, I 41.1
d 2.152, 2θ = 41.98°, I 35.4
d 1.613, 2θ = 57.11°, I 25.4
d 1.895, 2θ = 48.00°, I 21.7
d 1.422, 2θ = 65.64°, I 16.8
d 1.793, 2θ = 50.93°, I 15.0
d 3.694, 2θ = 24.09°, I 13.0
d 1.522, 2θ = 60.87°, I 11.7

Cell and atoms:
```
data_PrAlGe
_cell_length_a 4.304
_cell_length_b 4.304
_cell_length_c 14.776
_cell_angle_alpha 90.00
_cell_angle_beta 90.00
_cell_angle_gamma 90.00
_symmetry_space_group_name_H-M 'P 1'
_symmetry_Int_Tables_number 1
loop_
_symmetry_equiv_pos_as_xyz
'x,y,z'
loop_
_atom_site_label
_atom_site_fract_x
_atom_site_fract_y
_atom_site_fract_z
_atom_site_occupancy
Pr1 0.000 0.000 0.000 1
Pr2 0.000 0.500 0.250 1
Pr3 0.500 0.000 0.750 1
Pr4 0.500 0.500 0.500 1
Al1 0.000 0.000 0.416 1
Al2 0.000 0.500 0.666 1
Al3 0.500 0.000 0.166 1
Al4 0.500 0.500 0.916 1
Ge1 0.000 0.000 0.583 1
Ge2 0.000 0.500 0.833 1
Ge3 0.500 0.000 0.333 1
Ge4 0.500 0.500 0.083 1
```

---

Structure and theoretical PXRD pattern of Pr8Al2Ge (DFT lattice parameters and positions (GGA-PBE); a wavelength of 1.5418 Å).
Lines closer than 0.1° are merged.

Principal peaks in the range 2θ from 5° to 70°, by intensity:
d 2.933, 2θ = 30.48°, I 100.0
d 2.604, 2θ = 34.45°, I 87.4
d 2.989, 2θ = 29.89°, I 80.7
d 2.721, 2θ = 32.92°, I 73.9
d 3.170, 2θ = 28.15°, I 58.8
d 3.018, 2θ = 29.60°, I 48.0
d 3.143, 2θ = 28.40°, I 47.2
d 2.412, 2θ = 37.28°, I 37.4
d 2.577, 2θ = 34.81°, I 33.9
d 3.226, 2θ = 27.65°, I 28.2

Cell and atoms:
```
data_Pr8Al2Ge
_cell_length_a 9.896
_cell_length_b 9.896
_cell_length_c 7.144
_cell_angle_alpha 106.48
_cell_angle_beta 106.48
_cell_angle_gamma 30.51
_symmetry_space_group_name_H-M 'P 1'
_symmetry_Int_Tables_number 1
loop_
_symmetry_equiv_pos_as_xyz
'x,y,z'
loop_
_atom_site_label
_atom_site_fract_x
_atom_site_fract_y
_atom_site_fract_z
_atom_site_occupancy
Pr1 0.013 0.013 0.271 1
Pr2 0.210 0.210 0.806 1
Pr3 0.343 0.343 0.532 1
Pr4 0.406 0.406 0.040 1
Pr5 0.594 0.594 0.960 1
Pr6 0.657 0.657 0.468 1
Pr7 0.790 0.790 0.194 1
Pr8 0.987 0.987 0.729 1
Al1 0.178 0.178 0.226 1
Al2 0.822 0.822 0.774 1
Ge1 0.500 0.500 0.500 1
```

---

Structure and theoretical PXRD pattern of Pr3AlGe2 (DFT lattice parameters and positions (GGA-PBE); a wavelength of 1.5418 Å).
Lines closer than 0.1° are merged.

Principal peaks in the range 2θ from 5° to 70°, by intensity:
d 2.962, 2θ = 30.18°, I 100.0
d 2.656, 2θ = 33.75°, I 43.1
d 3.044, 2θ = 29.34°, I 43.0
d 2.866, 2θ = 31.21°, I 37.9
d 3.377, 2θ = 26.39°, I 36.2
d 2.150, 2θ = 42.03°, I 35.3
d 2.947, 2θ = 30.33°, I 34.3
d 2.299, 2θ = 39.19°, I 25.3
d 2.875, 2θ = 31.10°, I 24.0
d 1.741, 2θ = 52.58°, I 20.2

Cell and atoms:
```
data_Pr3AlGe2
_cell_length_a 12.144
_cell_length_b 4.300
_cell_length_c 12.240
_cell_angle_alpha 90.00
_cell_angle_beta 90.00
_cell_angle_gamma 90.00
_symmetry_space_group_name_H-M 'P 1'
_symmetry_Int_Tables_number 1
loop_
_symmetry_equiv_pos_as_xyz
'x,y,z'
loop_
_atom_site_label
_atom_site_fract_x
_atom_site_fract_y
_atom_site_fract_z
_atom_site_occupancy
Pr1 0.061 0.250 0.117 1
Pr2 0.122 0.750 0.560 1
Pr3 0.198 0.250 0.796 1
Pr4 0.302 0.750 0.296 1
Pr5 0.378 0.250 0.060 1
Pr6 0.439 0.750 0.617 1
Pr7 0.561 0.250 0.383 1
Pr8 0.622 0.750 0.940 1
Pr9 0.698 0.250 0.704 1
Pr10 0.802 0.750 0.204 1
Pr11 0.878 0.250 0.440 1
Pr12 0.939 0.750 0.883 1
Al1 0.134 0.250 0.367 1
Al2 0.366 0.750 0.867 1
Al3 0.634 0.250 0.133 1
Al4 0.866 0.750 0.633 1
Ge1 0.028 0.750 0.314 1
Ge2 0.190 0.750 0.988 1
Ge3 0.310 0.250 0.488 1
Ge4 0.472 0.250 0.814 1
Ge5 0.528 0.750 0.186 1
Ge6 0.690 0.750 0.512 1
Ge7 0.810 0.250 0.012 1
Ge8 0.972 0.250 0.686 1
```

---

Structure and theoretical PXRD pattern of Pr2AlGe3 (DFT lattice parameters and positions (GGA-PBE); a wavelength of 1.5418 Å).
Lines closer than 0.1° are merged.

Principal peaks in the range 2θ from 5° to 70°, by intensity:
d 2.800, 2θ = 31.96°, I 100.0
d 2.844, 2θ = 31.45°, I 50.5
d 2.214, 2θ = 40.76°, I 42.6
d 1.522, 2θ = 60.87°, I 25.8
d 1.716, 2θ = 53.38°, I 22.5
d 2.152, 2θ = 41.97°, I 19.8
d 2.096, 2θ = 43.17°, I 18.3
d 3.763, 2θ = 23.65°, I 15.9
d 1.758, 2θ = 52.03°, I 12.7
d 1.502, 2θ = 61.78°, I 12.5

Cell and atoms:
```
data_Pr2AlGe3
_cell_length_a 4.191
_cell_length_b 4.305
_cell_length_c 7.744
_cell_angle_alpha 90.00
_cell_angle_beta 90.00
_cell_angle_gamma 90.00
_symmetry_space_group_name_H-M 'P 1'
_symmetry_Int_Tables_number 1
loop_
_symmetry_equiv_pos_as_xyz
'x,y,z'
loop_
_atom_site_label
_atom_site_fract_x
_atom_site_fract_y
_atom_site_fract_z
_atom_site_occupancy
Pr1 0.000 0.000 0.000 1
Pr2 0.000 0.500 0.490 1
Al1 0.500 0.500 0.828 1
Ge1 0.500 0.000 0.329 1
Ge2 0.500 0.000 0.668 1
Ge3 0.500 0.500 0.151 1
```